This entry pairs a crystal structure of Nb2VF with its simulated powder diffraction line list. Radiation: Cu Kα X-rays. Structure: a DFT-relaxed cell (GGA+U, Alexandria).

Cell and atoms:
```
Nb2VF
1.0
-1.823 1.823 11.047
1.823 -1.823 11.047
1.823 1.823 -11.047
Nb V F
4 2 2
direct
0.117 0.625 0.992
0.375 0.367 0.492
0.633 0.125 0.008
0.875 0.883 0.508
0.000 0.000 0.000
0.750 0.250 0.500
0.250 0.750 0.500
0.500 0.500 0.000
```

Main lines, sorted by position (2θ from 10° to 80°):
2θ (°), I_rel
16.05, 64
32.42, 54
35.76, 100
42.82, 59
52.89, 50
54.71, 28
69.89, 13
73.04, 18